# 1
This entry pairs a crystal structure of Rb2Cr2As2O9 with its computed powder diffractogram. Radiation: λ = 1.5418 Å (Cu Kα). Structure: a PBE+U-relaxed structure.

```
60
Lattice="8.7275 0.0000 0.0000 0.0000 5.7967 0.0000 0.0000 0.0000 18.7715" Properties=species:S:1:pos:R:3 pbc="T T T"
Rb 0.3400 1.4492 4.3523
Rb 0.9252 1.4492 11.9839
Rb 3.4386 4.3475 2.5981
Rb 4.0237 4.3475 13.7380
Rb 4.7038 1.4492 5.0335
Rb 5.2890 1.4492 16.1734
Rb 7.8023 4.3475 6.7876
Rb 8.3875 4.3475 14.4192
Cr 0.0000 0.0000 0.0000
Cr 0.0000 2.8984 0.0000
Cr 1.9422 1.4492 8.2816
Cr 2.4216 4.3475 17.6673
Cr 4.3638 0.0000 9.3858
Cr 4.3638 2.8984 9.3858
Cr 6.3059 1.4492 1.1042
Cr 6.7853 4.3475 10.4899
As 1.5347 4.3475 10.3911
As 1.5755 1.4492 16.1424
As 2.7883 4.3475 6.7567
As 2.8291 1.4492 1.0053
As 5.8985 4.3475 17.7662
As 5.9393 1.4492 12.0148
As 7.1520 4.3475 2.6291
As 7.1928 1.4492 8.3804
O 0.0507 1.4492 8.9722
O 0.3101 1.4492 17.3934
O 0.4618 4.3475 17.5326
O 0.7595 1.4492 14.6748
O 1.6498 4.3475 12.0733
O 1.7724 2.9430 6.9153
O 1.7724 5.7521 6.9153
O 2.0051 0.0183 0.3736
O 2.0051 2.8800 0.3736
O 2.3586 2.9167 9.7594
O 2.3586 5.7784 9.7594
O 2.5913 0.0446 16.3011
O 2.5913 2.8537 16.3011
O 2.7139 1.4492 2.6875
O 3.6042 4.3475 5.2891
O 3.9020 1.4492 8.1469
O 4.0536 4.3475 8.0077
O 4.3131 4.3475 18.3579
O 4.4144 1.4492 0.4136
O 4.6739 1.4492 10.7638
O 4.8255 4.3475 10.6246
O 5.1233 1.4492 13.4824
O 6.0136 4.3475 16.0840
O 6.1362 2.9430 2.4704
O 6.1362 5.7521 2.4704
O 6.3689 0.0183 9.0121
O 6.3689 2.8800 9.0121
O 6.7224 2.9167 18.3979
O 6.7224 5.7784 18.3979
O 6.9551 0.0446 11.8562
O 6.9551 2.8537 11.8562
O 7.0777 1.4492 6.6982
O 7.9680 4.3475 4.0967
O 8.2657 1.4492 1.2389
O 8.4174 4.3475 1.3781
O 8.6769 4.3475 9.7993
```

Most intense lines, 2θ from 15° to 90°, by intensity:
(hkl), d/Å, I_rel
0 1 5, 3.151, 100
0 2 0, 2.898, 40
2 1 3, 3.045, 29
2 1 2, 3.268, 23
2 0 3, 3.579, 23
2 0 4, 3.196, 22
2 1 0, 3.486, 22
1 0 9, 2.030, 21
2 0 1, 4.250, 19
2 2 3, 2.252, 18


# 2
This entry pairs a crystal structure of ZnCrAsO5 with its computed powder diffractogram. Radiation: λ = 1.5418 Å (Cu Kα). Structure: a PBE+U-relaxed structure.

```
32
Lattice="6.1922 0.0000 0.0000 0.0000 7.9413 0.0000 0.0000 0.0000 8.3271" Properties=species:S:1:pos:R:3 pbc="T T T"
Zn 0.1690 1.5879 2.5974
Zn 2.9271 6.3534 6.7610
Zn 3.2651 2.3827 5.7297
Zn 6.0232 5.5585 1.5661
Cr 1.5207 5.9706 4.1558
Cr 1.5754 1.9707 8.3193
Cr 4.6168 5.9413 4.1714
Cr 4.6715 1.9999 0.0078
As 0.0652 0.7531 5.6491
As 3.0309 7.1882 1.4855
As 3.1613 3.2175 2.6780
As 6.1270 4.7238 6.8416
O 0.0117 1.0729 0.8087
O 0.0251 3.1607 7.6056
O 0.2331 1.9374 4.4260
O 1.4022 4.9749 5.9623
O 1.4736 0.8170 6.6418
O 1.6225 7.1243 2.4783
O 1.6940 2.9664 1.7987
O 2.8630 6.0038 0.2624
O 3.0710 4.7806 3.4420
O 3.0844 6.8684 4.9722
O 3.1078 2.8978 7.5185
O 3.1212 0.8099 0.7216
O 3.3293 2.0332 3.9012
O 4.4983 6.9370 2.3649
O 4.5697 3.1537 1.6853
O 4.7186 4.7876 5.8489
O 4.7901 1.0043 6.5284
O 5.9591 5.9081 8.0647
O 6.1671 7.1314 4.8852
O 6.1805 5.0435 3.3549
```

Most intense lines, 2θ from 15° to 90°, by intensity:
(hkl), d/Å, I_rel
2 0 0, 3.100, 100
1 2 0, 3.342, 95
2 1 1, 2.726, 75
0 1 3, 2.620, 55
0 2 0, 3.971, 46
1 2 2, 2.606, 42
1 1 1, 4.212, 38
2 1 5, 1.442, 37
1 1 3, 2.413, 34
2 0 2, 2.484, 27


# 3
This entry pairs a crystal structure of MgFe2CuAs2H2O10 with its computed powder diffractogram. Radiation: λ = 1.5418 Å (Cu Kα). Structure: a PBE+U-relaxed structure.

```
18
Lattice="5.5316 0.0000 0.0000 -1.5731 5.5686 0.0000 -1.1372 -3.1611 7.0601" Properties=species:S:1:pos:R:3 pbc="T T T"
Mg 0.0000 0.0000 0.0000
Fe -1.0548 2.1746 1.8928
Fe 0.1400 2.2839 4.5225
Cu 0.3263 -0.5522 3.2896
As 1.0855 4.7537 0.7842
As 3.3359 -0.3140 5.5296
H 1.1239 2.5888 0.1810
H 2.5929 2.3111 4.6373
O -1.4524 -1.2137 7.0048
O -1.4564 3.0927 3.6180
O -0.6996 0.1826 4.6746
O -0.4716 4.4584 1.5265
O 0.5452 1.2860 2.8530
O -0.6953 2.3813 6.4425
O 1.8820 3.2166 0.4932
O 2.4791 -1.3821 4.4657
O 1.9770 1.9163 5.3156
O 3.9352 0.0757 1.4560
```

Most intense lines, 2θ from 15° to 90°, by intensity:
(hkl), d/Å, I_rel
1 0 -2, 3.356, 100
1 -1 2, 2.960, 85
1 -1 0, 4.472, 78
0 2 -1, 2.780, 71
0 1 2, 2.466, 54
1 1 0, 3.110, 48
2 0 -1, 2.648, 47
1 -3 3, 1.751, 36
1 0 0, 5.130, 36
1 0 1, 3.707, 31


# 4
This entry pairs a crystal structure of MgFe2CuAs2H2O10 with its computed powder diffractogram. Radiation: λ = 1.5418 Å (Cu Kα). Structure: a PBE+U-relaxed structure.

```
18
Lattice="5.5153 0.0000 0.0000 -1.7499 5.7643 0.0000 -1.8514 -2.8205 7.0767" Properties=species:S:1:pos:R:3 pbc="T T T"
Mg 0.0000 0.0000 0.0000
Fe -0.7845 2.6265 1.4755
Fe 2.7183 0.3045 5.6389
Cu 1.8966 2.8772 0.0406
As -0.9813 3.3865 4.9035
As 2.8841 -0.4160 2.1769
H 0.6484 -0.5270 2.5924
H 1.2496 3.2268 4.3581
O -1.6255 -0.8489 6.9116
O -1.3960 3.3785 3.2547
O -1.9255 2.3532 5.8703
O 1.1436 0.1018 1.9970
O 0.8444 -0.7530 5.4392
O 1.1143 3.6847 1.7362
O 0.7286 2.7643 5.0595
O 3.7868 0.5990 1.1480
O 3.3148 -0.2716 3.8067
O 3.5613 3.7944 0.2130
```

Most intense lines, 2θ from 15° to 90°, by intensity:
(hkl), d/Å, I_rel
1 -1 2, 2.808, 100
1 -1 1, 3.865, 79
0 2 -1, 2.882, 71
1 -1 0, 4.617, 68
2 0 -1, 2.639, 54
1 1 -2, 3.073, 43
0 1 1, 3.667, 42
0 1 -1, 5.322, 37
-2 2 1, 2.195, 32
1 1 1, 2.474, 31


# 5
This entry pairs a crystal structure of MgFeCuAs2PbO10 with its computed powder diffractogram. Radiation: λ = 1.5418 Å (Cu Kα). Structure: a PBE+U-relaxed structure.

```
16
Lattice="5.6396 0.0000 0.0000 -2.3389 5.6182 0.0000 -0.9703 -2.5091 7.0241" Properties=species:S:1:pos:R:3 pbc="T T T"
Mg 0.0000 0.0000 0.0000
Fe -1.1631 3.0206 1.3594
Cu 2.7590 0.2080 1.3028
As 0.8566 0.0897 6.3444
As 1.4856 3.4681 3.4087
Pb -1.4087 1.2934 4.3943
O -1.1548 4.9444 1.5620
O 0.4323 3.2959 0.0556
O 0.0181 2.6485 2.9896
O 0.6818 0.1728 4.6633
O 0.9277 -1.6176 6.7840
O 3.6386 -0.4854 2.8542
O 2.2248 1.0335 6.8204
O 1.7286 3.5123 5.0809
O 2.7921 2.6749 2.6060
O 4.3128 1.1304 0.9299
```

Most intense lines, 2θ from 15° to 90°, by intensity:
(hkl), d/Å, I_rel
1 -1 2, 2.931, 100
0 1 1, 3.673, 71
1 0 -1, 4.700, 63
-1 1 1, 3.882, 63
0 1 0, 5.291, 55
1 0 -2, 3.304, 50
1 1 0, 3.044, 48
1 -2 1, 2.943, 37
1 1 -1, 3.234, 35
2 -1 0, 2.794, 33


# 6
This entry pairs a crystal structure of Fe2CuAs2O14 with its computed powder diffractogram. Radiation: λ = 1.5418 Å (Cu Kα). Structure: a PBE+U-relaxed structure.

```
38
Lattice="10.0414 0.0000 0.0000 0.0000 9.4221 0.0000 -0.1013 0.0000 5.6292" Properties=species:S:1:pos:R:3 pbc="T T T"
Fe 0.4844 1.3405 0.8603
Fe 0.4337 3.3706 3.6749
Fe 9.5064 6.0515 1.9543
Fe 9.4558 8.0816 4.7689
Cu 4.9701 0.0000 2.8146
Cu 5.0207 4.7110 0.0000
As 1.9646 0.6186 3.5840
As 2.0152 4.0924 0.7694
As 7.9249 5.3297 4.8597
As 7.9756 8.8035 2.0451
O 0.2181 6.9528 0.4053
O 0.1675 7.1803 3.2199
O 0.9917 0.0355 4.9132
O 1.0423 4.6756 2.0986
O 1.4090 0.0862 2.0456
O 1.3584 4.6249 4.8602
O 2.1280 2.3269 3.6923
O 2.1786 2.3841 0.8777
O 3.5593 4.8023 1.0777
O 3.5087 9.3308 3.8923
O 4.1828 6.5573 3.7862
O 4.2334 7.5758 0.9716
O 4.7595 2.2115 2.1558
O 4.7088 2.4995 4.9704
O 5.2313 6.9226 0.6588
O 5.1806 7.2105 3.4734
O 5.7067 1.8463 4.6576
O 5.7573 2.8648 1.8430
O 6.4315 0.0913 1.7369
O 6.3808 4.6198 4.5514
O 7.7615 7.0379 4.7515
O 7.8121 7.0952 1.9369
O 8.5817 4.7972 0.7690
O 8.5311 9.3359 3.5836
O 8.8978 4.7465 3.5306
O 8.9484 9.3866 0.7160
O 9.7726 2.2417 2.4093
O 9.7220 2.4693 5.2238
```

Most intense lines, 2θ from 15° to 90°, by intensity:
(hkl), d/Å, I_rel
1 1 1, 4.328, 100
3 1 -1, 2.771, 62
0 1 1, 4.832, 60
2 1 0, 4.430, 40
1 0 2, 2.697, 34
3 2 1, 2.441, 28
1 2 -1, 3.412, 28
0 3 1, 2.743, 25
3 2 0, 2.729, 25
0 2 0, 4.711, 24


# 7
This entry pairs a crystal structure of Nd5Fe5As5O4F with its computed powder diffractogram. Radiation: λ = 1.5418 Å (Cu Kα). Structure: a PBE+U-relaxed structure.

```
40
Lattice="9.0762 0.0000 0.0000 -0.0206 9.0919 0.0000 -1.8195 -3.6359 9.1119" Properties=species:S:1:pos:R:3 pbc="T T T"
Nd -0.5490 1.4322 3.2910
Nd 0.3804 -1.4479 5.8298
Nd 1.3327 5.0070 3.3644
Nd 2.3236 2.3656 5.8117
Nd 3.2534 -0.5184 3.3062
Nd 3.9827 5.9745 5.8057
Nd 4.9126 3.0904 3.3002
Nd 5.9035 0.4490 5.7475
Nd 6.8557 6.9040 3.2821
Nd 7.7852 4.0239 5.8210
Fe 0.4599 3.1748 0.0194
Fe -0.4725 -3.1694 9.1001
Fe 2.2631 6.8325 0.0214
Fe 3.1708 4.0654 0.0314
Fe 2.2239 -2.2661 9.1029
Fe 5.0123 7.7222 0.0090
Fe 4.0654 1.3907 9.0805
Fe 4.9731 -1.3764 9.0905
Fe 7.7087 8.6255 0.0118
Fe 6.7763 2.2813 9.0925
As 0.4523 7.7429 1.6743
As -0.4395 1.3593 7.4690
As 2.2503 2.2360 1.7017
As 1.3538 4.9878 7.4510
As 4.0830 5.9025 1.6687
As 3.1531 -0.4464 7.4433
As 5.8824 0.4682 1.6609
As 4.9859 3.2200 7.4102
As 7.6757 4.0968 1.6429
As 6.7838 -2.2869 7.4376
O -0.5266 5.8736 4.5749
O 0.4709 3.1398 4.5624
O 2.2074 6.8675 4.5720
O 3.2017 4.1291 4.5535
O 4.0344 1.3269 4.5584
O 5.0287 -1.4115 4.5399
O 6.7652 2.3162 4.5495
O 7.7628 -0.4176 4.5370
F 1.3503 0.4599 4.5727
F 5.8859 4.9961 4.5392
```

Most intense lines, 2θ from 15° to 90°, by intensity:
(hkl), d/Å, I_rel
1 2 1, 3.032, 100
3 1 1, 2.430, 28
-1 3 3, 1.786, 18
-3 4 1, 1.689, 18
4 -2 0, 2.032, 16
2 4 -2, 2.030, 16
3 1 -2, 2.741, 15
5 0 1, 1.686, 14
-1 3 1, 2.433, 14
1 -3 1, 2.877, 11